Entry 1:
Starting from a cell relaxed with GGA-PBE, the powder diffractogram of SmEr2Zn9 was calculated for Cu Kα (λ = 1.5418 Å).
No peak broadening, texture or thermal motion is included.

Atomic structure:
```
data_SmEr2Zn9
_cell_length_a 5.4428
_cell_length_b 5.4428
_cell_length_c 25.6926
_cell_angle_alpha 90.00
_cell_angle_beta 90.00
_cell_angle_gamma 120.00
_space_group_name_H-M_alt 'R -3 m'
_space_group_IT_number 166
_space_group_name_Hall '-R 3 2"'
loop_
_atom_site_label
_atom_site_type_symbol
_atom_site_fract_x
_atom_site_fract_y
_atom_site_fract_z
_atom_site_occupancy
Sm1 Sm 0.0000 0.0000 0.0000 1
Er1 Er 0.0000 0.0000 0.1405 1
Zn1 Zn 0.0000 0.0000 0.3350 1
Zn2 Zn 0.0000 0.0000 0.5000 1
Zn3 Zn 0.0066 0.5033 0.9167 1
```

Top 6 peaks for 2θ from 10° to 90°, by angle:
Position (°2θ)  Rel. int.
30.9  40
32.9  52
33.8  36
38.4  39
39.2  100
42.2  30

=====

Entry 2:
Starting from a cell relaxed with GGA-PBE, the powder diffractogram of Pr3C2Br2 was calculated for Cu Kα (λ = 1.5418 Å).
No peak broadening, texture or thermal motion is included.

Atomic structure:
```
data_Pr3C2Br2
_cell_length_a 3.7623
_cell_length_b 6.4751
_cell_length_c 7.8328
_cell_angle_alpha 99.44
_cell_angle_beta 92.22
_cell_angle_gamma 102.68
_space_group_name_H-M_alt 'P -1'
_space_group_IT_number 2
_space_group_name_Hall '-P 1'
loop_
_atom_site_label
_atom_site_type_symbol
_atom_site_fract_x
_atom_site_fract_y
_atom_site_fract_z
_atom_site_occupancy
Pr1 Pr 0.0000 0.0000 0.0000 1
Pr2 Pr 0.2077 0.4451 0.7911 1
C1 C 0.3582 0.7222 0.0566 1
Br1 Br 0.1688 0.2408 0.3764 1
```

Top 6 peaks for 2θ from 10° to 90°, by angle:
Position (°2θ)  Rel. int.
25.3  36
29.0  68
29.4  100
31.6  60
34.2  53
35.4  43

=====

Entry 3:
Starting from a cell relaxed with GGA-PBE, the powder diffractogram of Na2SnBr4 was calculated for Cu Kα (λ = 1.5418 Å).
No peak broadening, texture or thermal motion is included.

Atomic structure:
```
data_Na2SnBr4
_cell_length_a 8.8171
_cell_length_b 8.8171
_cell_length_c 12.5154
_cell_angle_alpha 90.00
_cell_angle_beta 90.00
_cell_angle_gamma 90.00
_space_group_name_H-M_alt 'P 41 2 2'
_space_group_IT_number 91
_space_group_name_Hall 'P 4w 2c'
loop_
_atom_site_label
_atom_site_type_symbol
_atom_site_fract_x
_atom_site_fract_y
_atom_site_fract_z
_atom_site_occupancy
Na1 Na 0.0000 0.2442 0.0000 1
Na2 Na 0.2494 0.2494 0.3750 1
Sn1 Sn 0.2381 0.5000 0.7500 1
Br1 Br 0.0163 0.2539 0.7582 1
Br2 Br 0.2442 0.4844 0.9912 1
```

Top 6 peaks for 2θ from 10° to 90°, by angle:
Position (°2θ)  Rel. int.
12.3  35
24.7  36
28.5  38
28.6  74
40.9  100
50.7  28

=====

Entry 4:
Starting from a cell relaxed with GGA-PBE, the powder diffractogram of Ac6Sn3Pd was calculated for Cu Kα (λ = 1.5418 Å).
No peak broadening, texture or thermal motion is included.

Atomic structure:
```
data_Ac6Sn3Pd
_cell_length_a 14.5742
_cell_length_b 14.5742
_cell_length_c 13.3828
_cell_angle_alpha 90.00
_cell_angle_beta 90.00
_cell_angle_gamma 120.00
_space_group_name_H-M_alt 'R -3'
_space_group_IT_number 148
_space_group_name_Hall '-R 3'
loop_
_atom_site_label
_atom_site_type_symbol
_atom_site_fract_x
_atom_site_fract_y
_atom_site_fract_z
_atom_site_occupancy
Ac1 Ac 0.0336 0.8302 0.3923 1
Ac2 Ac 0.0576 0.8573 0.8819 1
Sn1 Sn 0.0503 0.7680 0.6452 1
Pd1 Pd 0.0000 0.0000 0.0000 1
Pd2 Pd 0.0000 0.0000 0.5000 1
```

Top 6 peaks for 2θ from 10° to 90°, by angle:
Position (°2θ)  Rel. int.
22.9  71
27.6  42
28.8  100
32.5  82
32.7  91
47.8  28

=====

Entry 5:
Starting from a cell relaxed with GGA-PBE, the powder diffractogram of Y4GaSiN was calculated for Cu Kα (λ = 1.5418 Å).
No peak broadening, texture or thermal motion is included.

Atomic structure:
```
data_Y4GaSiN
_cell_length_a 6.5156
_cell_length_b 15.3280
_cell_length_c 6.5143
_cell_angle_alpha 90.00
_cell_angle_beta 90.00
_cell_angle_gamma 90.00
_space_group_name_H-M_alt 'C m c m'
_space_group_IT_number 63
_space_group_name_Hall '-C 2c 2'
loop_
_atom_site_label
_atom_site_type_symbol
_atom_site_fract_x
_atom_site_fract_y
_atom_site_fract_z
_atom_site_occupancy
Y1 Y 0.0000 0.0802 0.2500 1
Y2 Y 0.0000 0.4188 0.2500 1
Y3 Y 0.2500 0.2500 0.0000 1
Ga1 Ga 0.0000 0.3868 0.7500 1
Si1 Si 0.0000 0.1136 0.7500 1
N1 N 0.0000 0.2495 0.2500 1
```

Top 6 peaks for 2θ from 10° to 90°, by angle:
Position (°2θ)  Rel. int.
29.8  100
35.1  57
36.2  91
39.1  70
53.6  53
69.0  27

=====

Entry 6:
Starting from a cell relaxed with GGA-PBE, the powder diffractogram of Pr4ThS5 was calculated for Cu Kα (λ = 1.5418 Å).
No peak broadening, texture or thermal motion is included.

Atomic structure:
```
data_Pr4ThS5
_cell_length_a 9.1465
_cell_length_b 9.1465
_cell_length_c 5.7842
_cell_angle_alpha 90.00
_cell_angle_beta 90.00
_cell_angle_gamma 90.00
_space_group_name_H-M_alt 'I 4/m'
_space_group_IT_number 87
_space_group_name_Hall '-I 4'
loop_
_atom_site_label
_atom_site_type_symbol
_atom_site_fract_x
_atom_site_fract_y
_atom_site_fract_z
_atom_site_occupancy
Pr1 Pr 0.0951 0.3008 0.0000 1
Th1 Th 0.0000 0.0000 0.5000 1
S1 S 0.0000 0.0000 0.0000 1
S2 S 0.1001 0.2949 0.5000 1
```

Top 6 peaks for 2θ from 10° to 90°, by angle:
Position (°2θ)  Rel. int.
26.7  82
30.9  100
44.3  73
52.5  40
55.0  25
73.2  33

=====

Entry 7:
Starting from a cell relaxed with GGA-PBE, the powder diffractogram of TlNi4Cl7 was calculated for Cu Kα (λ = 1.5418 Å).
No peak broadening, texture or thermal motion is included.

Atomic structure:
```
data_TlNi4Cl7
_cell_length_a 15.5891
_cell_length_b 6.3527
_cell_length_c 5.9618
_cell_angle_alpha 90.00
_cell_angle_beta 90.00
_cell_angle_gamma 90.00
_space_group_name_H-M_alt 'P m n 21'
_space_group_IT_number 31
_space_group_name_Hall 'P 2ac -2'
loop_
_atom_site_label
_atom_site_type_symbol
_atom_site_fract_x
_atom_site_fract_y
_atom_site_fract_z
_atom_site_occupancy
Tl1 Tl 0.0000 0.1067 0.0000 1
Ni1 Ni 0.1233 0.6550 0.6269 1
Ni2 Ni 0.2457 0.1864 0.6211 1
Cl1 Cl 0.0000 0.8206 0.5277 1
Cl2 Cl 0.1153 0.3116 0.5527 1
Cl3 Cl 0.1257 0.7012 0.0045 1
Cl4 Cl 0.2394 0.8395 0.5014 1
```

Top 6 peaks for 2θ from 10° to 90°, by angle:
Position (°2θ)  Rel. int.
21.2  78
22.7  61
23.4  73
26.8  100
30.0  76
30.8  48

=====

Entry 8:
Starting from a cell relaxed with GGA-PBE, the powder diffractogram of Tb6Sm2Y3 was calculated for Cu Kα (λ = 1.5418 Å).
No peak broadening, texture or thermal motion is included.

Atomic structure:
```
data_Tb6Sm2Y3
_cell_length_a 6.1483
_cell_length_b 10.6664
_cell_length_c 11.6984
_cell_angle_alpha 90.00
_cell_angle_beta 100.22
_cell_angle_gamma 90.00
_space_group_name_H-M_alt 'C 1 2/m 1'
_space_group_IT_number 12
_space_group_name_Hall '-C 2y'
loop_
_atom_site_label
_atom_site_type_symbol
_atom_site_fract_x
_atom_site_fract_y
_atom_site_fract_z
_atom_site_occupancy
Tb1 Tb 0.2494 0.0000 0.2503 1
Tb2 Tb 0.2499 0.1669 0.7495 1
Sm1 Sm 0.0000 0.1665 0.0000 1
Y1 Y 0.0000 0.0000 0.5000 1
Y2 Y 0.0000 0.3347 0.5000 1
```

Top 6 peaks for 2θ from 10° to 90°, by angle:
Position (°2θ)  Rel. int.
30.9  100
31.1  33
35.8  67
51.5  16
51.7  23
61.3  23

=====

Entry 9:
Starting from a cell relaxed with GGA-PBE, the powder diffractogram of Sr2CaRh3O8 was calculated for Cu Kα (λ = 1.5418 Å).
No peak broadening, texture or thermal motion is included.

Atomic structure:
```
data_Sr2CaRh3O8
_cell_length_a 6.5306
_cell_length_b 6.5306
_cell_length_c 16.4451
_cell_angle_alpha 90.00
_cell_angle_beta 90.00
_cell_angle_gamma 120.00
_space_group_name_H-M_alt 'R 3 m'
_space_group_IT_number 160
_space_group_name_Hall 'R 3 -2"'
loop_
_atom_site_label
_atom_site_type_symbol
_atom_site_fract_x
_atom_site_fract_y
_atom_site_fract_z
_atom_site_occupancy
Sr1 Sr 0.0000 0.0000 0.0000 1
Sr2 Sr 0.0000 0.0000 0.3816 1
Ca1 Ca 0.0000 0.0000 0.6138 1
Rh1 Rh 0.1673 0.3347 0.8347 1
O1 O 0.0000 0.0000 0.2296 1
O2 O 0.0000 0.0000 0.7701 1
O3 O 0.0378 0.5189 0.7737 1
O4 O 0.1806 0.3612 0.5632 1
```

Top 6 peaks for 2θ from 10° to 90°, by angle:
Position (°2θ)  Rel. int.
16.2  53
31.5  61
31.9  100
32.1  63
38.6  58
56.4  52

=====

Entry 10:
Starting from a cell relaxed with GGA-PBE, the powder diffractogram of Ac4Ge3I was calculated for Cu Kα (λ = 1.5418 Å).
No peak broadening, texture or thermal motion is included.

Atomic structure:
```
data_Ac4Ge3I
_cell_length_a 4.6383
_cell_length_b 6.5558
_cell_length_c 9.3657
_cell_angle_alpha 90.00
_cell_angle_beta 90.00
_cell_angle_gamma 90.00
_space_group_name_H-M_alt 'P m m m'
_space_group_IT_number 47
_space_group_name_Hall '-P 2 2'
loop_
_atom_site_label
_atom_site_type_symbol
_atom_site_fract_x
_atom_site_fract_y
_atom_site_fract_z
_atom_site_occupancy
Ac1 Ac 0.0000 0.0000 0.0000 1
Ac2 Ac 0.0000 0.0000 0.5000 1
Ac3 Ac 0.5000 0.5000 0.2234 1
Ge1 Ge 0.0000 0.5000 0.0000 1
Ge2 Ge 0.5000 0.0000 0.2599 1
I1 I 0.0000 0.5000 0.5000 1
```

Top 6 peaks for 2θ from 10° to 90°, by angle:
Position (°2θ)  Rel. int.
23.3  24
23.5  26
27.1  100
27.2  51
38.8  98
63.4  28

=====

Entry 11:
Starting from a cell relaxed with GGA-PBE, the powder diffractogram of Sn5Os was calculated for Cu Kα (λ = 1.5418 Å).
No peak broadening, texture or thermal motion is included.

Atomic structure:
```
data_Sn5Os
_cell_length_a 6.7167
_cell_length_b 6.7167
_cell_length_c 13.2892
_cell_angle_alpha 90.00
_cell_angle_beta 90.00
_cell_angle_gamma 90.00
_space_group_name_H-M_alt 'I 4/m c m'
_space_group_IT_number 140
_space_group_name_Hall '-I 4 2c'
loop_
_atom_site_label
_atom_site_type_symbol
_atom_site_fract_x
_atom_site_fract_y
_atom_site_fract_z
_atom_site_occupancy
Sn1 Sn 0.0000 0.0000 0.0000 1
Sn2 Sn 0.1565 0.3435 0.1531 1
Os1 Os 0.0000 0.0000 0.2500 1
```

Top 6 peaks for 2θ from 10° to 90°, by angle:
Position (°2θ)  Rel. int.
13.3  56
30.5  54
32.9  87
36.1  100
38.1  67
42.6  80

=====

Entry 12:
Starting from a cell relaxed with GGA-PBE, the powder diffractogram of Mg4Zn2CdAg2 was calculated for Cu Kα (λ = 1.5418 Å).
No peak broadening, texture or thermal motion is included.

Atomic structure:
```
data_Mg4Zn2CdAg2
_cell_length_a 5.1107
_cell_length_b 5.2861
_cell_length_c 7.0251
_cell_angle_alpha 70.99
_cell_angle_beta 74.60
_cell_angle_gamma 83.18
_space_group_name_H-M_alt 'P -1'
_space_group_IT_number 2
_space_group_name_Hall '-P 1'
loop_
_atom_site_label
_atom_site_type_symbol
_atom_site_fract_x
_atom_site_fract_y
_atom_site_fract_z
_atom_site_occupancy
Mg1 Mg 0.0822 0.1899 0.2721 1
Mg2 Mg 0.2043 0.2456 0.8191 1
Zn1 Zn 0.3340 0.6915 0.9576 1
Cd1 Cd 0.5000 0.0000 0.5000 1
Ag1 Ag 0.2614 0.6065 0.3878 1
```

Top 6 peaks for 2θ from 10° to 90°, by angle:
Position (°2θ)  Rel. int.
34.3  69
36.8  100
37.5  80
39.1  79
39.5  75
39.9  71